For UBi2O6, a GGA-PBE-relaxed structure gives the theoretical powder X-ray diffraction pattern in this record (Cu Kα (λ = 1.5418 Å)).

```
data_UBi2O6
_cell_length_a 3.9266
_cell_length_b 3.9266
_cell_length_c 9.5576
_cell_angle_alpha 90.00
_cell_angle_beta 90.00
_cell_angle_gamma 120.00
_space_group_name_H-M_alt 'P -3 m 1'
_space_group_IT_number 164
_space_group_name_Hall '-P 3 2"'
loop_
_atom_site_label
_atom_site_type_symbol
_atom_site_fract_x
_atom_site_fract_y
_atom_site_fract_z
U1 U 0.0000 0.0000 0.0000
Bi1 Bi 0.3333 0.6667 0.3401
O1 O 0.0000 0.0000 0.2099
O2 O 0.3333 0.6667 0.0529
O3 O 0.3333 0.6667 0.5851
```

Top 12 peaks for 2θ from 10° to 80°, in order of rising 2θ:
hkl 0 1 1, 3.204 Å, rel. 100
hkl 0 0 3, 3.186 Å, rel. 32
hkl 1 0 2, 2.771 Å, rel. 49
hkl 1 1 0, 1.963 Å, rel. 34
hkl 0 1 4, 1.955 Å, rel. 31
hkl 2 0 1, 1.672 Å, rel. 47
hkl 1 0 5, 1.666 Å, rel. 15
hkl 0 2 2, 1.602 Å, rel. 11
hkl 2 0 4, 1.385 Å, rel. 10
hkl 1 2 1, 1.274 Å, rel. 13
hkl 2 1 2, 1.241 Å, rel. 10
hkl 1 1 6, 1.237 Å, rel. 11